Diffraction record for WSeS. The XRD peak list is calculated, not measured: it uses a crystal structure in Alexandria, relaxed with GGA-PBE and Cu Kα.
Kinematic intensities with the Lorentz-polarization factor, no thermal factor.

Cell and atoms:
a b c (Å): 3.2540 3.2540 15.2696
angles (deg): 90.00 90.00 120.00
Space group P3m1 (No. 156)
Symmetry-distinct sites (fractional):
W 0.0000 0.0000 0.0000 [1 per cell]
W 0.3333 0.6667 0.4754 [1 per cell]
Se 0.3333 0.6667 0.1119 [1 per cell]
Se 0.3333 0.6667 0.8881 [1 per cell]
S 0.0000 0.0000 0.3739 [1 per cell]
S 0.0000 0.0000 0.5770 [1 per cell]

Top 10 peaks for 5 to 70 degrees two-theta, low angle first:
2θ (°)  I_rel
5.79  15
11.59  100
31.75  16
32.30  9
33.91  12
36.44  38
39.76  7
43.71  31
56.57  11
57.95  10